Diffraction record for LiPdF6. The PXRD pattern is theoretical, not measured: it uses a GGA-PBE-relaxed structure and a wavelength of 1.5418 Å.
Intensities are scaled so that the largest is 100.

Unit cell a=5.014 b=5.014 c=9.246 alpha=90.00 beta=90.00 gamma=120.00
Atoms (fractional coordinates):
Li 0.333 0.667 0.250
Li 0.667 0.333 0.750
Pd 0.000 0.000 0.000
Pd 0.000 0.000 0.500
F 0.013 0.318 0.120
F 0.013 0.695 0.380
F 0.305 0.318 0.380
F 0.305 0.987 0.120
F 0.318 0.013 0.620
F 0.318 0.305 0.880
F 0.682 0.695 0.120
F 0.682 0.987 0.380
F 0.695 0.013 0.880
F 0.695 0.682 0.620
F 0.987 0.305 0.620
F 0.987 0.682 0.880

Most intense lines, 2θ from 10° to 80°, low angle first:
2θ (°)  intensity  (hkl)
19.20  35  0 0 2
20.45  100  1 0 0
28.20  83  1 0 2
40.95  47  2 -1 2
44.40  18  1 0 4
46.19  20  2 0 2
53.96  29  2 -1 4
58.31  12  2 0 4
59.80  20  3 -1 2
64.37  13  3 0 0